1.
For Dy2Sn3Ru, DFT lattice parameters and positions (GGA-PBE) gives the computed X-ray powder pattern in this record (Cu Kα).

a = 6.9225 Å, b = 6.9225 Å, c = 6.0484 Å
α = 90.00°, β = 90.00°, γ = 95.64°
Fractional coordinates of all 12 atoms:
Dy 0.0477 0.6031 0.7500
Dy 0.3969 0.9523 0.7500
Dy 0.6031 0.0477 0.2500
Dy 0.9523 0.3969 0.2500
Sn 0.0676 0.9324 0.2500
Sn 0.3394 0.3394 0.0000
Sn 0.3394 0.3394 0.5000
Sn 0.6606 0.6606 0.0000
Sn 0.6606 0.6606 0.5000
Sn 0.9324 0.0676 0.7500
Ru 0.3186 0.6814 0.2500
Ru 0.6814 0.3186 0.7500

Top 12 peaks for 10 to 90 degrees two-theta, low angle first:
| d_spacing | I (rel.) |
| --- | --- |
| 2.966 | 21 |
| 2.835 | 26 |
| 2.769 | 26 |
| 2.663 | 100 |
| 2.605 | 64 |
| 2.565 | 23 |
| 2.361 | 31 |
| 2.296 | 45 |
| 2.273 | 27 |
| 1.667 | 25 |
| 1.550 | 17 |
| 1.489 | 41 |

***

2.
For LaY2Cd2, DFT lattice parameters and positions (GGA-PBE) gives the computed X-ray powder pattern in this record (Cu Kα).

a = 3.7788 Å, b = 5.5126 Å, c = 14.1101 Å
α = 90.00°, β = 97.71°, γ = 90.00°
Fractional coordinates of all 10 atoms:
La 0.1482 0.2500 0.2947
La 0.8518 0.7500 0.7053
Y 0.0472 0.7500 0.0945
Y 0.2356 0.7500 0.4711
Y 0.7644 0.2500 0.5289
Y 0.9528 0.2500 0.9055
Cd 0.3582 0.2500 0.7174
Cd 0.4535 0.7500 0.9071
Cd 0.5465 0.2500 0.0929
Cd 0.6418 0.7500 0.2826

Top 12 peaks for 10 to 90 degrees two-theta, low angle first:
| d_spacing | I (rel.) |
| --- | --- |
| 2.797 | 23 |
| 2.756 | 27 |
| 2.723 | 100 |
| 1.963 | 16 |
| 1.889 | 9 |
| 1.600 | 12 |
| 1.585 | 19 |
| 1.566 | 8 |
| 1.558 | 9 |
| 1.361 | 9 |
| 1.236 | 9 |
| 1.199 | 7 |

***

3.
For Pm3Dy2Pb6, DFT lattice parameters and positions (GGA-PBE) gives the computed X-ray powder pattern in this record (Cu Kα).

a = 11.9808 Å, b = 11.9808 Å, c = 11.9808 Å
α = 151.46°, β = 151.46°, γ = 40.80°
Fractional coordinates of all 11 atoms:
Pm 0.0000 0.0000 0.0000
Pm 0.1521 0.1521 0.0000
Pm 0.8479 0.8479 0.0000
Dy 0.4254 0.4254 0.0000
Dy 0.5746 0.5746 0.0000
Pb 0.0771 0.5771 0.5000
Pb 0.2923 0.2923 0.0000
Pb 0.4229 0.9229 0.5000
Pb 0.5771 0.0771 0.5000
Pb 0.7077 0.7077 0.0000
Pb 0.9229 0.4229 0.5000

Top 12 peaks for 10 to 90 degrees two-theta, low angle first:
| d_spacing | I (rel.) |
| --- | --- |
| 3.914 | 34 |
| 2.953 | 100 |
| 2.819 | 57 |
| 2.787 | 35 |
| 2.088 | 38 |
| 2.039 | 45 |
| 1.677 | 20 |
| 1.671 | 16 |
| 1.459 | 16 |
| 1.410 | 16 |
| 1.321 | 21 |
| 1.308 | 14 |

***

4.
For PuS2I, DFT lattice parameters and positions (GGA-PBE) gives the computed X-ray powder pattern in this record (Cu Kα).

a = 3.9095 Å, b = 3.9095 Å, c = 10.8354 Å
α = 90.00°, β = 90.00°, γ = 120.00°
Fractional coordinates of all 4 atoms:
Pu 0.0000 0.0000 0.0000
S 0.3333 0.6667 0.1279
S 0.6667 0.3333 0.8720
I 0.6667 0.3333 0.4856

Top 12 peaks for 10 to 90 degrees two-theta, low angle first:
| d_spacing | I (rel.) |
| --- | --- |
| 5.418 | 84 |
| 3.386 | 19 |
| 3.232 | 100 |
| 2.871 | 40 |
| 2.470 | 63 |
| 2.115 | 20 |
| 1.955 | 25 |
| 1.839 | 30 |
| 1.825 | 26 |
| 1.673 | 15 |
| 1.533 | 15 |
| 1.206 | 14 |